[1]
Theoretical powder X-ray diffraction pattern
Compound: Sc2FeSb6
Radiation: Cu Ka
Structure: a crystal structure in Alexandria, relaxed with PBE
No peak broadening, texture or thermal motion is included.

Structural model:
```
9
Lattice="7.8040 0.0000 0.0000 -3.9020 6.7585 0.0000 0.0000 0.0000 3.8816" Properties=species:S:1:pos:R:3 pbc="T T T"
Sc 0.0000 4.5057 0.0000
Sc 3.9020 2.2528 0.0000
Fe 0.0000 0.0000 1.9408
Sb -1.4501 2.5116 1.9408
Sb -2.9609 5.1285 0.0000
Sb 0.9411 1.6300 0.0000
Sb 2.9002 0.0000 1.9408
Sb 2.4519 4.2469 1.9408
Sb 5.9219 0.0000 0.0000
```

Main lines, low angle first (2θ from 5° to 70°):
| h k l | two_theta | I_rel |
| --- | --- | --- |
| 1 0 0 | 13.10 | 16 |
| 1 1 1 | 32.54 | 100 |
| 2 1 0 | 35.17 | 74 |
| 3 0 0 | 40.02 | 28 |
| 2 1 1 | 42.36 | 26 |
| 0 0 2 | 46.81 | 16 |
| 4 0 1 | 59.67 | 13 |
| 2 1 2 | 59.85 | 18 |
| 3 0 2 | 63.24 | 14 |
| 3 2 1 | 64.74 | 15 |

[2]
Theoretical powder X-ray diffraction pattern
Compound: Ba2PdPb6
Radiation: Cu Ka
Structure: a crystal structure in Alexandria, relaxed with PBE
No peak broadening, texture or thermal motion is included.

Structural model:
```
9
Lattice="7.2179 0.0000 0.0000 -3.6089 6.2509 0.0000 0.0000 0.0000 6.3977" Properties=species:S:1:pos:R:3 pbc="T T T"
Ba 0.0000 4.1673 2.0543
Ba 3.6089 2.0836 4.3434
Pd 0.0000 0.0000 3.1988
Pb 0.0000 2.0954 5.1639
Pb -1.7943 5.2032 5.1639
Pb 1.8146 1.0477 1.2337
Pb 1.7943 5.2032 5.1639
Pb 5.4032 1.0477 1.2337
Pb 3.6089 4.1555 1.2337
```

Main lines, low angle first (2θ from 5° to 70°):
| h k l | two_theta | I_rel |
| --- | --- | --- |
| 0 0 2 | 27.89 | 15 |
| 1 1 1 | 28.39 | 12 |
| 2 0 0 | 28.56 | 18 |
| 1 0 2 | 31.41 | 12 |
| 0 2 1 | 31.87 | 100 |
| 2 0 2 | 40.35 | 25 |
| 2 1 2 | 47.86 | 7 |
| 2 2 0 | 50.58 | 24 |
| 2 2 2 | 58.75 | 12 |
| 4 0 1 | 61.04 | 16 |

Question: What is the formula in the second record?
Answer: Ba2PdPb6

Question: What is the formula in the second record?
Answer: Ba2PdPb6

Question: What is the formula in the second record?
Answer: Ba2PdPb6